This entry pairs a crystal structure of BaLi4Cu9 with its simulated XRD peak list. Radiation: CuKα. Structure: a cell relaxed with PBE.
No peak broadening, texture or thermal motion is included.

Structural model:
a = 8.506 Å, b = 8.506 Å, c = 8.506 Å
α = 121.02°, β = 121.02°, γ = 88.25°
Element x y z (fractional)
1 Ba 0.250 0.250 0.000
2 Ba 0.750 0.750 0.000
3 Li 0.061 0.561 0.864
4 Li 0.197 0.061 0.500
5 Li 0.303 0.803 0.864
6 Li 0.439 0.303 0.500
7 Li 0.561 0.697 0.500
8 Li 0.697 0.197 0.136
9 Li 0.803 0.939 0.500
10 Li 0.939 0.439 0.136
11 Cu 0.000 0.500 0.500
12 Cu 0.065 0.209 0.274
13 Cu 0.068 0.783 0.500
14 Cu 0.209 0.935 0.144
15 Cu 0.217 0.717 0.285
16 Cu 0.283 0.568 0.500
17 Cu 0.291 0.435 0.726
18 Cu 0.432 0.932 0.715
19 Cu 0.435 0.709 0.144
20 Cu 0.500 0.000 0.500
21 Cu 0.565 0.291 0.856
22 Cu 0.568 0.068 0.285
23 Cu 0.709 0.565 0.274
24 Cu 0.717 0.432 0.500
25 Cu 0.783 0.283 0.715
26 Cu 0.791 0.065 0.856
27 Cu 0.932 0.217 0.500
28 Cu 0.935 0.791 0.726

Most intense lines, 15° ≤ 2θ ≤ 90°, by intensity:
Position (°2θ)	I (rel.)
37.00	100
44.93	73
24.87	48
21.22	46
33.64	32
29.25	30
45.26	27
44.27	22
33.01	20
47.22	19